Entry 1:
Calculated powder X-ray diffraction pattern
Compound: SmPd12
Radiation: λ = 1.5418 Å (Cu Kα)
Structure: the PBE geometry in Alexandria
Lines closer than 0.1° are merged.

Atomic structure:
```
data_SmPd12
_chemical_formula_sum 'Sm2 Pd24'
_symmetry_space_group_name_H-M 'I 4/m m m'
_symmetry_Int_Tables_number 139
_symmetry_space_group_name_Hall '-I 4 2'
_cell_length_a 9.117
_cell_length_b 9.117
_cell_length_c 5.277
_cell_angle_alpha 90.00
_cell_angle_beta 90.00
_cell_angle_gamma 90.00
loop_
_atom_site_label
_atom_site_fract_x
_atom_site_fract_y
_atom_site_fract_z
Sm1 0.000 0.000 0.000
Pd1 0.000 0.217 0.500
Pd2 0.000 0.351 0.000
Pd3 0.250 0.250 0.250
```

The 6 most intense peaks (2θ = 10–90°), by angle:
- 34.03 deg, d 2.635, I = 27, hkl 0 0 2
- 39.51 deg, d 2.281, I = 100, hkl 4 0 0
- 44.40 deg, d 2.040, I = 49, hkl 2 2 2
- 64.54 deg, d 1.444, I = 10, hkl 3 2 3
- 71.69 deg, d 1.316, I = 21, hkl 6 0 2
- 85.11 deg, d 1.140, I = 9, hkl 8 0 0


Entry 2:
Calculated powder X-ray diffraction pattern
Compound: BaMg11
Radiation: λ = 1.5418 Å (Cu Kα)
Structure: the PBE geometry in Alexandria
Lines closer than 0.1° are merged.

Atomic structure:
```
data_BaMg11
_chemical_formula_sum 'Ba4 Mg44'
_symmetry_space_group_name_H-M 'I 41/a m d'
_symmetry_Int_Tables_number 141
_cell_length_a 12.466
_cell_length_b 12.466
_cell_length_c 8.080
_cell_angle_alpha 90.00
_cell_angle_beta 90.00
_cell_angle_gamma 90.00
loop_
_symmetry_equiv_pos_as_xyz
'x,y,z'
'-x,-y,-z'
'-y+1/4,x+3/4,z+1/4'
'y+1/4,-x+3/4,-z+1/4'
'-x+1/2,-y,z+1/2'
'x+1/2,y,-z+1/2'
'y+1/4,-x+1/4,z+3/4'
'-y+1/4,x+1/4,-z+3/4'
'x,-y,-z'
'-x,y,z'
'-y+1/4,-x+1/4,-z+3/4'
'y+1/4,x+1/4,z+3/4'
'-x+1/2,y,-z+1/2'
'x+1/2,-y,z+1/2'
'y+1/4,x+3/4,-z+1/4'
'-y+1/4,-x+3/4,z+1/4'
'x+1/2,y+1/2,z+1/2'
'-x+1/2,-y+1/2,-z+1/2'
'-y+3/4,x+1/4,z+3/4'
'y+3/4,-x+1/4,-z+3/4'
'-x,-y+1/2,z'
'x,y+1/2,-z'
'y+3/4,-x+3/4,z+1/4'
'-y+3/4,x+3/4,-z+1/4'
'x+1/2,-y+1/2,-z+1/2'
'-x+1/2,y+1/2,z+1/2'
'-y+3/4,-x+3/4,-z+1/4'
'y+3/4,x+3/4,z+1/4'
'-x,y+1/2,-z'
'x,-y+1/2,z'
'y+3/4,x+1/4,-z+3/4'
'-y+3/4,-x+1/4,z+3/4'
loop_
_atom_site_label
_atom_site_fract_x
_atom_site_fract_y
_atom_site_fract_z
Ba1 0.000 0.250 0.375
Mg1 0.000 0.000 0.000
Mg2 0.000 0.250 0.875
Mg3 0.124 0.044 0.683
```

The 6 most intense peaks (2θ = 10–90°), by angle:
- 19.34 deg, d 4.589, I = 41, hkl 2 1 1
- 24.23 deg, d 3.673, I = 36, hkl 1 1 2
- 28.07 deg, d 3.179, I = 49, hkl 3 2 1
- 31.71 deg, d 2.821, I = 100, hkl 3 1 2
- 32.11 deg, d 2.788, I = 65, hkl 4 2 0
- 48.12 deg, d 1.891, I = 30, hkl 5 3 2


Entry 3:
Calculated powder X-ray diffraction pattern
Compound: Na3Sr3Pb2
Radiation: λ = 1.5418 Å (Cu Kα)
Structure: the PBE geometry in Alexandria
Lines closer than 0.1° are merged.

Atomic structure:
```
data_Na3Sr3Pb2
_chemical_formula_sum 'Na9 Sr9 Pb6'
_symmetry_space_group_name_H-M 'R 3 m'
_symmetry_Int_Tables_number 160
_symmetry_space_group_name_Hall 'R 3 -2"'
_cell_length_a 5.8025
_cell_length_b 5.8025
_cell_length_c 28.5660
_cell_angle_alpha 90.00
_cell_angle_beta 90.00
_cell_angle_gamma 120.00
loop_
_atom_site_label
_atom_site_fract_x
_atom_site_fract_y
_atom_site_fract_z
Na1 0.0000 0.0000 0.0000
Na2 0.0000 0.0000 0.1183
Na3 0.0000 0.0000 0.4871
Sr1 0.0000 0.0000 0.3683
Sr2 0.0000 0.0000 0.6157
Sr3 0.0000 0.0000 0.8650
Pb1 0.0000 0.0000 0.2408
Pb2 0.0000 0.0000 0.7417
```

The 6 most intense peaks (2θ = 10–90°), by angle:
- 18.70 deg, d 4.746, I = 100, hkl 0 0 6
- 30.72 deg, d 2.911, I = 96, hkl 0 1 8
- 30.82 deg, d 2.901, I = 97, hkl 1 1 0
- 36.23 deg, d 2.479, I = 46, hkl 1 1 6
- 44.07 deg, d 2.055, I = 36, hkl 2 0 8
- 54.76 deg, d 1.676, I = 57, hkl 3 0 0


Entry 4:
Calculated powder X-ray diffraction pattern
Compound: CePu2Ge3Pt4
Radiation: λ = 1.5418 Å (Cu Kα)
Structure: the PBE geometry in Alexandria
Lines closer than 0.1° are merged.

Atomic structure:
```
data_CePu2Ge3Pt4
_chemical_formula_sum 'Ce1 Pu2 Ge3 Pt4'
_symmetry_space_group_name_H-M 'P -4 m 2'
_symmetry_Int_Tables_number 115
_symmetry_space_group_name_Hall 'P -4 -2'
_cell_length_a 4.279
_cell_length_b 4.279
_cell_length_c 11.324
_cell_angle_alpha 90.00
_cell_angle_beta 90.00
_cell_angle_gamma 90.00
loop_
_atom_site_label
_atom_site_fract_x
_atom_site_fract_y
_atom_site_fract_z
Ce1 0.000 0.000 0.000
Pu1 0.000 0.500 0.730
Ge1 0.000 0.500 0.378
Ge2 0.500 0.500 0.000
Pt1 0.000 0.000 0.500
Pt2 0.000 0.500 0.162
Pt3 0.500 0.500 0.500
```

The 6 most intense peaks (2θ = 10–90°), by angle:
- 31.61 deg, d 2.831, I = 35, hkl 0 0 4
- 33.58 deg, d 2.669, I = 100, hkl 1 1 2
- 42.24 deg, d 2.140, I = 46, hkl 2 0 0
- 45.30 deg, d 2.002, I = 21, hkl 1 0 5
- 53.70 deg, d 1.707, I = 20, hkl 2 0 4
- 71.71 deg, d 1.316, I = 23, hkl 3 1 2


Entry 5:
Calculated powder X-ray diffraction pattern
Compound: Pm2Cd9Ag6
Radiation: λ = 1.5418 Å (Cu Kα)
Structure: the PBE geometry in Alexandria
Lines closer than 0.1° are merged.

Atomic structure:
```
data_Pm2Cd9Ag6
_chemical_formula_sum 'Pm2 Cd9 Ag6'
_symmetry_space_group_name_H-M 'P 6/m m m'
_symmetry_Int_Tables_number 191
_symmetry_space_group_name_Hall '-P 6 2'
_cell_length_a 5.7866
_cell_length_b 5.7866
_cell_length_c 14.2881
_cell_angle_alpha 90.00
_cell_angle_beta 90.00
_cell_angle_gamma 120.00
loop_
_atom_site_label
_atom_site_fract_x
_atom_site_fract_y
_atom_site_fract_z
Pm1 0.0000 0.0000 0.1443
Cd1 0.0000 0.5000 0.0000
Cd2 0.0000 0.5000 0.3346
Ag1 0.3333 0.6667 0.1688
Ag2 0.3333 0.6667 0.5000
```

The 6 most intense peaks (2θ = 10–90°), by angle:
- 17.70 deg, d 5.011, I = 27, hkl 1 0 0
- 35.84 deg, d 2.506, I = 30, hkl 2 0 0
- 36.33 deg, d 2.473, I = 100, hkl 1 1 3
- 37.78 deg, d 2.381, I = 32, hkl 0 0 6
- 40.69 deg, d 2.217, I = 52, hkl 2 0 3
- 58.56 deg, d 1.576, I = 23, hkl 3 0 3


Entry 6:
Calculated powder X-ray diffraction pattern
Compound: Na2LiScBr6
Radiation: λ = 1.5418 Å (Cu Kα)
Structure: the PBE geometry in Alexandria
Lines closer than 0.1° are merged.

Atomic structure:
```
data_Na2LiScBr6
_chemical_formula_sum 'Na2 Li1 Sc1 Br6'
_symmetry_space_group_name_H-M 'P 1'
_symmetry_Int_Tables_number 1
_symmetry_space_group_name_Hall 'P 1'
_cell_length_a 7.213
_cell_length_b 7.216
_cell_length_c 7.572
_cell_angle_alpha 118.40
_cell_angle_beta 90.02
_cell_angle_gamma 119.98
loop_
_atom_site_label
_atom_site_fract_x
_atom_site_fract_y
_atom_site_fract_z
Na1 0.000 0.000 0.000
Na2 0.493 0.985 0.477
Li1 0.282 0.563 0.846
Sc1 0.798 0.596 0.395
Br1 0.048 0.489 0.163
Br2 0.164 0.084 0.654
Br3 0.441 0.115 0.163
Br4 0.570 0.734 0.654
Br5 0.674 0.722 0.162
Br6 0.920 0.490 0.654
```

The 6 most intense peaks (2θ = 10–90°), by angle:
- 28.21 deg, d 3.163, I = 20, hkl 0 0 2
- 28.48 deg, d 3.134, I = 100, hkl 1 -2 2
- 34.37 deg, d 2.609, I = 12, hkl 0 2 0
- 37.82 deg, d 2.379, I = 28, hkl 1 -2 3
- 43.45 deg, d 2.083, I = 22, hkl 3 -3 1
- 50.10 deg, d 1.821, I = 20, hkl 1 1 -4


Entry 7:
Calculated powder X-ray diffraction pattern
Compound: Rb4Ga2Si5
Radiation: λ = 1.5418 Å (Cu Kα)
Structure: the PBE geometry in Alexandria
Lines closer than 0.1° are merged.

Atomic structure:
```
data_Rb4Ga2Si5
_chemical_formula_sum 'Rb4 Ga2 Si5'
_symmetry_space_group_name_H-M 'P 1 2/m 1'
_symmetry_Int_Tables_number 10
_symmetry_space_group_name_Hall '-P 2y'
_cell_length_a 7.014
_cell_length_b 5.947
_cell_length_c 7.534
_cell_angle_alpha 90.00
_cell_angle_beta 92.90
_cell_angle_gamma 90.00
loop_
_atom_site_label
_atom_site_fract_x
_atom_site_fract_y
_atom_site_fract_z
Rb1 0.234 0.000 0.131
Rb2 0.254 0.000 0.640
Ga1 0.414 0.500 0.343
Si1 0.063 0.500 0.361
Si2 0.126 0.500 0.902
Si3 0.500 0.500 0.000
```

The 6 most intense peaks (2θ = 10–90°), by angle:
- 29.60 deg, d 3.018, I = 98, hkl 2 1 0
- 30.05 deg, d 2.973, I = 83, hkl 0 2 0
- 30.37 deg, d 2.943, I = 79, hkl 1 1 -2
- 31.40 deg, d 2.849, I = 100, hkl 1 1 2
- 44.63 deg, d 2.030, I = 24, hkl 3 0 -2
- 54.74 deg, d 1.677, I = 26, hkl 3 2 -2


What is the formula in the first record? SmPd12


What is the formula in the first record? SmPd12